U2Fe12P7: computed powder diffractogram (Cu Kα (weighted mean of Kα1 and Kα2)), based on a crystal structure in the Materials Project, relaxed with PBE.

Peak list (10 most intense, 2θ = 5–70°, in order of rising 2θ)
hkl  2theta  I (rel.)
1 0 0  11.3  15
1 1 0  19.7  17
1 0 1  27.2  21
1 2 0  30.3  12
3 0 0  34.5  13
1 2 1  39.5  100
2 2 0  40.0  13
0 0 2  50.6  14
4 1 0  53.8  18
2 3 1  57.5  14

Atomic structure:
```
data_U2Fe12P7
_chemical_formula_sum 'U2 Fe12 P7'
_cell_length_a 9.0096
_cell_length_b 9.0096
_cell_length_c 3.6062
_cell_angle_alpha 90.00
_cell_angle_beta 90.00
_cell_angle_gamma 120.00
_space_group_name_H-M_alt 'P -6'
_space_group_IT_number 174
_space_group_name_Hall 'P -6'
loop_
_atom_site_label
_atom_site_type_symbol
_atom_site_fract_x
_atom_site_fract_y
_atom_site_fract_z
U1 U 0.0000 0.0000 0.0000
U2 U 0.3333 0.6667 0.5000
Fe1 Fe 0.0464 0.7746 0.5000
Fe2 Fe 0.1060 0.4029 0.0000
Fe3 Fe 0.3920 0.2084 0.0000
Fe4 Fe 0.5441 0.1046 0.5000
P1 P 0.0683 0.6298 0.0000
P2 P 0.2694 0.0410 0.5000
P3 P 0.6667 0.3333 0.0000
```

---

Rb3AsF6: computed powder diffractogram (Cu Kα (weighted mean of Kα1 and Kα2)), based on a crystal structure in the Materials Project, relaxed with PBE.

Peak list (10 most intense, 2θ = 5–70°, in order of rising 2θ)
hkl  2theta  I (rel.)
2 0 0  18.8  2
2 2 0  26.6  100
2 2 2  32.8  6
4 0 0  38.0  41
3 3 1  41.6  1
4 2 2  47.0  39
4 4 0  54.9  25
6 2 0  62.0  21
6 2 2  65.4  1
4 4 4  68.7  8

Atomic structure:
```
data_Rb3AsF6
_chemical_formula_sum 'Rb12 As4 F24'
_cell_length_a 9.463
_cell_length_b 9.463
_cell_length_c 9.463
_cell_angle_alpha 90.00
_cell_angle_beta 90.00
_cell_angle_gamma 90.00
_space_group_name_H-M_alt 'F m -3 m'
_space_group_IT_number 225
_space_group_name_Hall '-F 4 2 3'
loop_
_atom_site_label
_atom_site_type_symbol
_atom_site_fract_x
_atom_site_fract_y
_atom_site_fract_z
Rb1 Rb 0.000 0.000 0.000
Rb2 Rb 0.250 0.250 0.250
As1 As 0.000 0.000 0.500
F1 F 0.000 0.000 0.281
```

---

HoNiGe2: computed powder diffractogram (Cu Kα (weighted mean of Kα1 and Kα2)), based on a crystal structure in the Materials Project, relaxed with PBE.

Peak list (10 most intense, 2θ = 5–70°, in order of rising 2θ)
hkl  2theta  I (rel.)
1 1 1  31.1  15
1 3 1  34.6  100
0 6 1  38.7  20
0 0 2  43.4  20
2 0 0  44.4  19
0 8 1  48.5  11
1 9 0  54.0  10
1 5 2  56.6  14
2 6 1  60.3  11
2 0 2  63.8  13

Atomic structure:
```
data_HoNiGe2
_chemical_formula_sum 'Ho4 Ni4 Ge8'
_cell_length_a 4.083
_cell_length_b 16.807
_cell_length_c 4.174
_cell_angle_alpha 90.00
_cell_angle_beta 90.00
_cell_angle_gamma 90.00
_space_group_name_H-M_alt 'C m c m'
_space_group_IT_number 63
_space_group_name_Hall '-C 2c 2'
loop_
_atom_site_label
_atom_site_type_symbol
_atom_site_fract_x
_atom_site_fract_y
_atom_site_fract_z
Ho1 Ho 0.000 0.108 0.250
Ni1 Ni 0.000 0.323 0.250
Ge1 Ge 0.000 0.252 0.750
Ge2 Ge 0.000 0.459 0.250
```

---

LiB6S4Cl6O8: computed powder diffractogram (Cu Kα (weighted mean of Kα1 and Kα2)), based on a crystal structure in the Materials Project, relaxed with PBE.

Peak list (10 most intense, 2θ = 5–70°, in order of rising 2θ)
hkl  2theta  I (rel.)
0 1 -3  25.5  41
0 3 -1  26.1  67
1 1 2  28.9  62
3 -2 0  29.1  48
0 3 0  29.3  47
3 1 -1  29.6  100
3 0 -2  30.0  52
2 -3 0  30.2  33
-3 2 1  31.8  38
-1 2 2  32.0  51

Atomic structure:
```
data_LiB6S4Cl6O8
_chemical_formula_sum 'Li2 B12 S8 Cl12 O16'
_cell_length_a 10.238
_cell_length_b 10.580
_cell_length_c 10.637
_cell_angle_alpha 116.37
_cell_angle_beta 94.93
_cell_angle_gamma 101.28
_space_group_name_H-M_alt 'P -1'
_space_group_IT_number 2
_space_group_name_Hall '-P 1'
loop_
_atom_site_label
_atom_site_type_symbol
_atom_site_fract_x
_atom_site_fract_y
_atom_site_fract_z
Li1 Li 0.161 0.088 0.258
B1 B 0.348 0.413 0.017
B2 B 0.357 0.520 0.923
B3 B 0.404 0.350 0.849
B4 B 0.414 0.608 0.113
B5 B 0.490 0.335 0.994
B6 B 0.496 0.494 0.158
S1 S 0.031 0.807 0.328
S2 S 0.171 0.901 0.894
S3 S 0.182 0.453 0.451
S4 S 0.494 0.885 0.618
Cl1 Cl 0.190 0.321 0.034
Cl2 Cl 0.207 0.542 0.843
Cl3 Cl 0.305 0.190 0.691
Cl4 Cl 0.326 0.724 0.236
Cl5 Cl 0.481 0.160 0.986
Cl6 Cl 0.490 0.491 0.324
O1 O 0.048 0.807 0.464
O2 O 0.053 0.901 0.808
O3 O 0.074 0.470 0.367
O4 O 0.091 0.945 0.330
O5 O 0.171 0.956 0.045
O6 O 0.196 0.305 0.403
O7 O 0.372 0.805 0.638
O8 O 0.377 0.116 0.315
```